# Sn2Ge2O7
Theoretical PXRD pattern, a wavelength of 1.5418 Å. Input: a structure optimized by DFT (PBE).

Largest 10 diffraction maxima, by angle, 15 to 90 degrees two-theta:
d_spacing	Position (°2θ)	intensity
3.646	24.4	203
3.413	26.1	648
3.267	27.3	1000
3.237	27.6	981
3.226	27.7	367
3.115	28.7	217
2.936	30.4	436
2.782	32.2	353
2.555	35.1	328
1.604	57.5	205

Structural model:
Cell lengths 6.908, 6.978, 13.264 Å; angles 80.92, 84.63, 81.53 degrees
Atoms (fractional coordinates):
Sn 0.063 0.169 0.137
Sn 0.132 0.394 0.346
Sn 0.344 0.271 0.640
Sn 0.418 0.725 0.132
Sn 0.582 0.275 0.868
Sn 0.656 0.729 0.360
Sn 0.868 0.606 0.654
Sn 0.937 0.831 0.863
Ge 0.077 0.306 0.873
Ge 0.139 0.877 0.371
Ge 0.360 0.780 0.577
Ge 0.450 0.817 0.804
Ge 0.550 0.183 0.196
Ge 0.640 0.220 0.423
Ge 0.861 0.123 0.629
Ge 0.923 0.694 0.127
O 0.033 0.457 0.182
O 0.044 0.276 0.628
O 0.066 0.109 0.298
O 0.087 0.862 0.138
O 0.150 0.296 0.996
O 0.191 0.925 0.493
O 0.233 0.806 0.883
O 0.255 0.570 0.629
O 0.300 0.243 0.798
O 0.361 0.745 0.319
O 0.378 0.064 0.144
O 0.386 0.944 0.670
O 0.409 0.269 0.489
O 0.425 0.399 0.236
O 0.575 0.601 0.764
O 0.591 0.731 0.511
O 0.614 0.056 0.330
O 0.622 0.936 0.856
O 0.639 0.255 0.681
O 0.700 0.757 0.202
O 0.745 0.430 0.371
O 0.767 0.194 0.117
O 0.809 0.075 0.507
O 0.850 0.704 0.004
O 0.913 0.138 0.862
O 0.934 0.891 0.702
O 0.956 0.724 0.372
O 0.967 0.543 0.818

---

# K2AgPdF6
Theoretical PXRD pattern, a wavelength of 1.5418 Å. Input: a structure optimized by DFT (PBE).

Largest 10 diffraction maxima, by angle, 15 to 90 degrees two-theta:
d_spacing	Position (°2θ)	intensity
4.381	20.3	550
3.098	28.8	1000
2.191	41.2	458
1.959	46.3	243
1.789	51.1	384
1.549	59.7	269
1.460	63.7	111
1.385	67.6	166
1.265	75.1	83
1.171	82.4	192

Structural model:
Cell lengths 6.196, 6.196, 6.196 Å; angles 60.00, 60.00, 60.00 degrees
Atoms (fractional coordinates):
K 0.250 0.250 0.250
K 0.750 0.750 0.750
Ag 0.000 0.000 0.000
Pd 0.500 0.500 0.500
F 0.261 0.261 0.739
F 0.261 0.739 0.261
F 0.261 0.739 0.739
F 0.739 0.261 0.261
F 0.739 0.261 0.739
F 0.739 0.739 0.261

---

# RuXeF11
Theoretical PXRD pattern, a wavelength of 1.5418 Å. Input: a structure optimized by DFT (PBE).

Largest 10 diffraction maxima, by angle, 15 to 90 degrees two-theta:
d_spacing	Position (°2θ)	intensity
4.754	18.7	1000
4.239	21.0	700
4.146	21.4	888
3.826	23.3	536
3.179	28.1	309
3.164	28.2	431
2.007	45.2	211
1.965	46.2	172
1.814	50.3	185
1.703	53.8	173

Structural model:
Cell lengths 17.147, 8.478, 5.712 Å; angles 90.00, 90.00, 90.00 degrees
Atoms (fractional coordinates):
Ru 0.042 0.250 0.220
Ru 0.458 0.750 0.720
Ru 0.542 0.250 0.280
Ru 0.958 0.750 0.780
Xe 0.150 0.750 0.301
Xe 0.350 0.250 0.801
Xe 0.650 0.750 0.199
Xe 0.850 0.250 0.699
F 0.013 0.750 0.482
F 0.041 0.027 0.224
F 0.041 0.473 0.224
F 0.058 0.750 0.938
F 0.093 0.250 0.932
F 0.138 0.250 0.375
F 0.151 0.586 0.548
F 0.151 0.914 0.548
F 0.186 0.587 0.076
F 0.186 0.913 0.076
F 0.236 0.250 0.875
F 0.264 0.750 0.375
F 0.314 0.087 0.576
F 0.314 0.413 0.576
F 0.349 0.086 0.048
F 0.349 0.414 0.048
F 0.362 0.750 0.875
F 0.407 0.750 0.432
F 0.442 0.250 0.438
F 0.459 0.527 0.724
F 0.459 0.973 0.724
F 0.487 0.250 0.982
F 0.513 0.750 0.018
F 0.541 0.027 0.276
F 0.541 0.473 0.276
F 0.558 0.750 0.562
F 0.593 0.250 0.568
F 0.638 0.250 0.125
F 0.651 0.586 0.952
F 0.651 0.914 0.952
F 0.686 0.587 0.424
F 0.686 0.913 0.424
F 0.736 0.250 0.625
F 0.764 0.750 0.125
F 0.814 0.087 0.924
F 0.814 0.413 0.924
F 0.849 0.086 0.452
F 0.849 0.414 0.452
F 0.862 0.750 0.625
F 0.907 0.750 0.068
F 0.942 0.250 0.062
F 0.959 0.527 0.776
F 0.959 0.973 0.776
F 0.987 0.250 0.518

---

# Pr4CdNi
Theoretical PXRD pattern, a wavelength of 1.5418 Å. Input: a structure optimized by DFT (PBE).

Largest 10 diffraction maxima, by angle, 15 to 90 degrees two-theta:
d_spacing	Position (°2θ)	intensity
3.235	27.6	294
2.878	31.1	582
2.713	33.0	1000
2.492	36.0	275
1.723	53.2	124
1.662	55.3	515
1.628	56.5	131
1.417	65.9	169
1.163	83.0	144
1.144	84.8	131

Structural model:
Cell lengths 9.970, 9.970, 9.970 Å; angles 60.00, 60.00, 60.00 degrees
Atoms (fractional coordinates):
Pr 0.187 0.187 0.813
Pr 0.187 0.813 0.187
Pr 0.187 0.813 0.813
Pr 0.403 0.403 0.403
Pr 0.403 0.403 0.792
Pr 0.403 0.792 0.403
Pr 0.559 0.559 0.941
Pr 0.559 0.941 0.559
Pr 0.559 0.941 0.941
Pr 0.792 0.403 0.403
Pr 0.813 0.187 0.187
Pr 0.813 0.187 0.813
Pr 0.813 0.813 0.187
Pr 0.941 0.559 0.559
Pr 0.941 0.559 0.941
Pr 0.941 0.941 0.559
Cd 0.170 0.170 0.170
Cd 0.170 0.170 0.491
Cd 0.170 0.491 0.170
Cd 0.491 0.170 0.170
Ni 0.174 0.609 0.609
Ni 0.609 0.174 0.609
Ni 0.609 0.609 0.174
Ni 0.609 0.609 0.609

---

# MgZr
Theoretical PXRD pattern, a wavelength of 1.5418 Å. Input: a structure optimized by DFT (PBE).

Largest 10 diffraction maxima, by angle, 15 to 90 degrees two-theta:
d_spacing	Position (°2θ)	intensity
3.685	24.2	497
3.265	27.3	206
2.660	33.7	202
2.554	35.1	326
2.444	36.8	1000
2.359	38.1	231
1.842	49.5	132
1.558	59.3	108
1.453	64.1	186
1.330	70.8	130

Structural model:
Cell lengths 5.109, 3.265, 5.320 Å; angles 90.00, 90.00, 90.00 degrees
Atoms (fractional coordinates):
Mg 0.250 0.000 0.188
Mg 0.750 0.000 0.812
Zr 0.250 0.500 0.693
Zr 0.750 0.500 0.307

---

# Sm2Sc2O5
Theoretical PXRD pattern, a wavelength of 1.5418 Å. Input: a structure optimized by DFT (PBE).

Largest 10 diffraction maxima, by angle, 15 to 90 degrees two-theta:
d_spacing	Position (°2θ)	intensity
4.011	22.2	335
3.972	22.4	184
2.836	31.5	476
2.822	31.7	1000
2.308	39.0	271
2.005	45.2	256
1.985	45.7	136
1.635	56.3	399
1.627	56.6	182
1.411	66.2	112

Structural model:
Cell lengths 8.898, 8.898, 8.898 Å; angles 53.58, 142.86, 142.79 degrees
Atoms (fractional coordinates):
Sm 0.021 0.136 0.156
Sm 0.021 0.364 0.385
Sm 0.979 0.636 0.615
Sm 0.979 0.864 0.844
Sc 0.431 0.721 0.210
Sc 0.475 0.475 0.000
Sc 0.475 0.975 0.500
Sc 0.511 0.221 0.790
O 0.303 0.553 0.004
O 0.303 0.799 0.250
O 0.489 0.269 0.302
O 0.489 0.687 0.720
O 0.506 0.487 0.519
O 0.549 0.053 0.750
O 0.549 0.299 0.996
O 0.966 0.187 0.698
O 0.966 0.769 0.280
O 0.968 0.987 0.481

---

Please write out number 6 again, unchanged.
# Sm2Sc2O5
Theoretical PXRD pattern, a wavelength of 1.5418 Å. Input: a structure optimized by DFT (PBE).

Largest 10 diffraction maxima, by angle, 15 to 90 degrees two-theta:
d_spacing	Position (°2θ)	intensity
4.011	22.2	335
3.972	22.4	184
2.836	31.5	476
2.822	31.7	1000
2.308	39.0	271
2.005	45.2	256
1.985	45.7	136
1.635	56.3	399
1.627	56.6	182
1.411	66.2	112

Structural model:
Cell lengths 8.898, 8.898, 8.898 Å; angles 53.58, 142.86, 142.79 degrees
Atoms (fractional coordinates):
Sm 0.021 0.136 0.156
Sm 0.021 0.364 0.385
Sm 0.979 0.636 0.615
Sm 0.979 0.864 0.844
Sc 0.431 0.721 0.210
Sc 0.475 0.475 0.000
Sc 0.475 0.975 0.500
Sc 0.511 0.221 0.790
O 0.303 0.553 0.004
O 0.303 0.799 0.250
O 0.489 0.269 0.302
O 0.489 0.687 0.720
O 0.506 0.487 0.519
O 0.549 0.053 0.750
O 0.549 0.299 0.996
O 0.966 0.187 0.698
O 0.966 0.769 0.280
O 0.968 0.987 0.481